Calculated powder diffractogram of BaSrV4O12 for Cu Kα X-rays, from a crystal structure in Alexandria, relaxed with PBE+U.
Kinematic intensities with the Lorentz-polarization factor, no thermal factor.

The 10 most intense peaks (2θ = 10–90°), low angle first:
two_theta	I (rel.)	index
20.12	90	1 0 1
33.14	100	2 0 0
39.08	49	2 1 1
47.58	50	2 2 0
52.15	21	2 1 3
59.21	37	2 0 4
63.20	16	3 0 3
69.56	28	4 0 0
73.25	15	4 1 1
79.25	16	4 2 0

Atomic structure:
```
18
Lattice="5.4073 0.0000 0.0000 0.0000 5.4073 0.0000 0.0000 0.0000 7.6416" Properties=species:S:1:pos:R:3 pbc="T T T"
Ba 0.0000 0.0000 0.0000
Sr 2.7036 2.7036 3.8208
V 0.0000 2.7036 1.9310
V 0.0000 2.7036 5.7106
V 2.7036 0.0000 1.9310
V 2.7036 0.0000 5.7106
O 0.0000 2.7036 0.0000
O 0.0000 2.7036 3.8208
O 1.3634 1.3634 1.9487
O 1.3634 1.3634 5.6929
O 1.3634 4.0439 1.9487
O 1.3634 4.0439 5.6929
O 2.7036 0.0000 0.0000
O 2.7036 0.0000 3.8208
O 4.0439 1.3634 1.9487
O 4.0439 1.3634 5.6929
O 4.0439 4.0439 1.9487
O 4.0439 4.0439 5.6929
```